The following is a calculated PXRD pattern of Na4Pm3MnO8. It was derived from DFT lattice parameters and positions (GGA+U), using Cu Kα X-rays.

Main lines, in order of rising 2θ (2θ = 10–90°):
2θ 15.79, d 5.611, I = 100; 2θ 30.26, d 2.954, I = 33; 2θ 30.60, d 2.921, I = 17; 2θ 31.72, d 2.821, I = 39; 2θ 31.89, d 2.806, I = 39; 2θ 36.74, d 2.446, I = 63; 2θ 37.20, d 2.417, I = 29; 2θ 40.36, d 2.235, I = 20; 2θ 53.22, d 1.721, I = 30; 2θ 53.31, d 1.719, I = 19

Structural model:
Cell lengths 6.875, 6.875, 6.893 Å; angles 120.02, 120.02, 60.69 degrees
Atoms (fractional coordinates):
Na 0.000 0.000 0.000
Na 0.000 0.500 0.500
Na 0.500 0.000 0.500
Na 0.500 0.500 0.000
Pm 0.000 0.000 0.500
Pm 0.000 0.500 0.000
Pm 0.500 0.000 0.000
Mn 0.500 0.500 0.500
O 0.241 0.241 0.765
O 0.246 0.740 0.262
O 0.260 0.754 0.738
O 0.294 0.294 0.279
O 0.706 0.706 0.721
O 0.740 0.246 0.262
O 0.754 0.260 0.738
O 0.759 0.759 0.235